Computed XRD peak list of Ba2Si3Au for a wavelength of 1.5418 Å, from a cell relaxed with PBE.
Peak positions follow from Bragg's law for the DFT cell and can differ from measured ones.

The 10 most intense peaks (10° ≤ 2θ ≤ 90°), most intense first:
two_theta	I/Imax	h k l
29.77	100	1 0 2
41.78	32	1 1 0
56.15	27	1 1 4
25.39	22	1 0 1
52.14	21	2 0 2
68.94	18	2 1 2
23.76	17	1 0 0
35.78	16	0 0 4
60.61	13	1 0 6
76.31	12	3 0 0

Cell and atoms:
Lattice parameters (Å, degrees): 4.3238 4.3238 10.0396 90.00 90.00 120.00
Space group P-6m2 (No. 187)
One atom of each set of equivalent atoms:
Ba  0.0000  0.0000  0.2468 x2
Si  0.3333  0.6667  0.5000 x1
Si  0.6667  0.3333  0.0000 x1
Si  0.6667  0.3333  0.5000 x1
Au  0.3333  0.6667  0.0000 x1